Theoretical powder X-ray diffraction pattern of LiZn5 for Cu Kα, 1.54184 Å, from a crystal structure in Alexandria, relaxed with PBE.
Intensities are scaled so that the largest is 100.

Cell and atoms:
Cell lengths 3.999, 11.070, 3.997 Å; angles 90.00, 90.00, 90.00 degrees
Fractional positions:
Li  0.000  0.000  0.000
Li  0.500  0.500  0.000
Zn  0.000  0.164  0.500
Zn  0.000  0.332  0.000
Zn  0.000  0.500  0.500
Zn  0.000  0.668  0.000
Zn  0.000  0.836  0.500
Zn  0.500  0.000  0.500
Zn  0.500  0.168  0.000
Zn  0.500  0.336  0.500
Zn  0.500  0.664  0.500
Zn  0.500  0.832  0.000

Top 10 peaks for 2θ from 10° to 90°, low angle first:
d = 5.535 Å, I 7.6; d = 2.739 Å, I 6.2; d = 2.244 Å, I 100.0; d = 1.999 Å, I 35.0; d = 1.845 Å, I 13.4; d = 1.414 Å, I 10.6; d = 1.356 Å, I 18.1; d = 1.196 Å, I 23.5; d = 1.128 Å, I 9.7; d = 1.122 Å, I 9.6